No. 1
Theoretical X-ray diffraction stick pattern
Compound: Li6V5O12
Radiation: Cu Kα (λ = 1.5418 Å)
Structure: a crystal structure in the Materials Project, relaxed with GGA+U
No peak broadening, texture or thermal motion is included.

Structure:
```
data_Li6V5O12
_cell_length_a 5.0465
_cell_length_b 5.0568
_cell_length_c 9.5411
_cell_angle_alpha 93.34
_cell_angle_beta 93.68
_cell_angle_gamma 116.14
_symmetry_space_group_name_H-M 'P 1'
_symmetry_Int_Tables_number 1
_symmetry_space_group_name_Hall 'P 1'
loop_
_atom_site_label
_atom_site_fract_x
_atom_site_fract_y
_atom_site_fract_z
Li1 0.0000 0.0000 0.0000
Li2 0.0494 0.3905 0.2407
Li3 0.2686 0.2393 0.7553
Li4 0.6095 0.9473 0.7596
Li5 0.6747 0.3182 0.9997
Li6 0.7602 0.7322 0.2445
V1 0.3464 0.6559 0.9927
V2 0.4087 0.0751 0.2414
V3 0.4933 0.5095 0.5006
V4 0.8482 0.1533 0.4972
V5 0.9325 0.5954 0.7498
O1 0.0967 0.7212 0.1317
O2 0.1317 0.1490 0.3785
O3 0.1859 0.4881 0.6173
O4 0.2779 0.9189 0.8701
O5 0.3742 0.3491 0.1303
O6 0.5035 0.8305 0.3816
O7 0.6052 0.2520 0.6273
O8 0.6241 0.6250 0.8867
O9 0.6693 0.0050 0.1209
O10 0.7412 0.4019 0.3687
O11 0.8494 0.8603 0.6222
O12 0.9954 0.3322 0.8834
```

Peak list (10 most intense, 2θ from 10° to 90°, low angle first)
(0 1 -1), 4.240 Å, 2θ 21.0, I = 100; (-1 1 2), 3.185 Å, 2θ 28.0, I = 27; (1 -1 2), 3.173 Å, 2θ 28.1, I = 25; (1 1 2), 2.209 Å, 2θ 40.9, I = 47; (1 -2 3), 2.023 Å, 2θ 44.8, I = 75; (0 3 -1), 1.510 Å, 2θ 61.4, I = 11; (3 0 -1), 1.508 Å, 2θ 61.5, I = 11; (-1 2 5), 1.478 Å, 2θ 62.9, I = 11; (2 -1 5), 1.473 Å, 2θ 63.1, I = 11; (1 1 -6), 1.432 Å, 2θ 65.1, I = 11

No. 2
Theoretical X-ray diffraction stick pattern
Compound: Li2MnP2O7
Radiation: Cu Kα (λ = 1.5418 Å)
Structure: a crystal structure in the Materials Project, relaxed with GGA+U
No peak broadening, texture or thermal motion is included.

Structure:
```
data_Li2MnP2O7
_cell_length_a 5.2295
_cell_length_b 7.3696
_cell_length_c 8.3856
_cell_angle_alpha 65.63
_cell_angle_beta 85.83
_cell_angle_gamma 81.39
_symmetry_space_group_name_H-M 'P 1'
_symmetry_Int_Tables_number 1
_symmetry_space_group_name_Hall 'P 1'
loop_
_atom_site_label
_atom_site_fract_x
_atom_site_fract_y
_atom_site_fract_z
Li1 0.1995 0.3241 0.0658
Li2 0.2004 0.3687 0.4922
Li3 0.7996 0.6313 0.5078
Li4 0.8005 0.6759 0.9342
Mn1 0.3240 0.7778 0.2202
Mn2 0.6760 0.2222 0.7798
P1 0.2360 0.9510 0.7985
P2 0.2759 0.6348 0.6769
P3 0.7241 0.3652 0.3231
P4 0.7640 0.0490 0.2015
O1 0.0548 0.0432 0.1573
O2 0.1007 0.5388 0.8326
O3 0.1704 0.6475 0.5042
O4 0.2826 0.8675 0.6454
O5 0.3225 0.1614 0.7120
O6 0.4086 0.8103 0.9535
O7 0.4393 0.4603 0.2966
O8 0.5607 0.5397 0.7034
O9 0.5914 0.1897 0.0465
O10 0.6775 0.8386 0.2880
O11 0.7174 0.1325 0.3546
O12 0.8296 0.3525 0.4958
O13 0.8993 0.4612 0.1674
O14 0.9452 0.9568 0.8427
```

Peak list (10 most intense, 2θ from 10° to 90°, low angle first)
(0 1 1), 6.497 Å, 2θ 13.6, I = 50; (1 1 0), 4.370 Å, 2θ 20.3, I = 100; (1 -1 0), 3.845 Å, 2θ 23.1, I = 66; (0 0 2), 3.819 Å, 2θ 23.3, I = 86; (1 1 2), 3.379 Å, 2θ 26.4, I = 33; (1 2 1), 3.213 Å, 2θ 27.8, I = 44; (0 1 3), 2.787 Å, 2θ 32.1, I = 48; (2 0 0), 2.585 Å, 2θ 34.7, I = 25; (2 1 1), 2.525 Å, 2θ 35.6, I = 25; (0 3 1), 2.409 Å, 2θ 37.3, I = 44

No. 3
Theoretical X-ray diffraction stick pattern
Compound: MgMn4Zn2O8
Radiation: Cu Kα (λ = 1.5418 Å)
Structure: a crystal structure in the Materials Project, relaxed with GGA+U
No peak broadening, texture or thermal motion is included.

Structure:
```
data_MgMn4Zn2O8
_cell_length_a 2.9768
_cell_length_b 5.3746
_cell_length_c 11.9856
_cell_angle_alpha 85.98
_cell_angle_beta 87.81
_cell_angle_gamma 74.89
_symmetry_space_group_name_H-M 'P 1'
_symmetry_Int_Tables_number 1
_symmetry_space_group_name_Hall 'P 1'
loop_
_atom_site_label
_atom_site_fract_x
_atom_site_fract_y
_atom_site_fract_z
Mg1 0.0000 0.0000 0.0000
Mn1 0.4837 0.9771 0.2259
Mn2 0.5832 0.8640 0.7709
Mn3 0.6957 0.4496 0.3573
Mn4 0.8523 0.3765 0.6476
Zn1 0.1066 0.8763 0.5342
Zn2 0.2251 0.5130 0.1183
O1 0.1243 0.6781 0.2748
O2 0.2014 0.6321 0.7221
O3 0.3012 0.1984 0.3641
O4 0.4978 0.0992 0.6159
O5 0.5959 0.7794 0.0580
O6 0.7168 0.6321 0.5000
O7 0.8610 0.2351 0.1260
O8 0.9855 0.0490 0.8382
```

Peak list (10 most intense, 2θ from 10° to 90°, low angle first)
(0 0 2), 5.977 Å, 2θ 14.8, I = 100; (0 1 -3), 3.067 Å, 2θ 29.1, I = 78; (0 1 4), 2.661 Å, 2θ 33.7, I = 100; (1 1 2), 2.624 Å, 2θ 34.2, I = 33; (0 2 0), 2.589 Å, 2θ 34.6, I = 32; (1 0 -2), 2.567 Å, 2θ 35.0, I = 55; (0 1 -4), 2.521 Å, 2θ 35.6, I = 60; (1 -1 1), 2.231 Å, 2θ 40.4, I = 31; (1 2 -1), 2.167 Å, 2θ 41.7, I = 32; (1 -1 2), 2.119 Å, 2θ 42.7, I = 43